# VCrO4
Computed powder XRD pattern, copper Kα. Input: a crystal structure in Alexandria, relaxed with GGA+U.
Neutral-atom scattering factors, no anomalous dispersion.

Peak list (8 most intense, 2θ = 5–70°, by angle)
d [Å]  intensity
4.693  31
3.739  84
3.486  54
2.823  50
2.584  100
2.518  58
1.580  25
1.483  45

Cell and atoms:
```
VCrO4
1.0
2.8231 -4.2192 0.0000
2.8231 4.2192 0.0000
0.0000 0.0000 6.1896
V Cr O
2 2 8
direct
0.1449 0.8551 0.7500
0.8551 0.1449 0.2500
0.5000 0.5000 0.0000
0.5000 0.5000 0.5000
0.2431 0.2900 0.2500
0.2649 0.7351 0.5322
0.2649 0.7351 0.9678
0.2900 0.2431 0.7500
0.7100 0.7569 0.2500
0.7351 0.2649 0.0322
0.7351 0.2649 0.4678
0.7569 0.7100 0.7500
```